Starting from a crystal structure in Alexandria, relaxed with PBE, the XRD peak list of Dy4Ho4Sc was calculated for Cu Ka.
Kinematic intensities with the Lorentz-polarization factor, no thermal factor.

Main lines, low angle first (2θ = 10–90°):
Position (°2θ)	I/Imax
19.83	2.5
31.27	100.0
36.26	50.5
52.22	35.6
62.09	28.1
62.21	14.0
65.23	12.1
76.91	3.8
85.34	5.9
85.44	11.7
88.13	11.0
88.31	5.5

Crystal structure
```
data_Dy4Ho4Sc
_chemical_formula_sum 'Dy8 Ho8 Sc2'
_cell_length_a 10.519
_cell_length_b 10.519
_cell_length_c 4.947
_cell_angle_alpha 90.00
_cell_angle_beta 90.00
_cell_angle_gamma 90.00
_space_group_name_H-M_alt 'I 4/m m m'
_space_group_IT_number 139
_space_group_name_Hall '-I 4 2'
loop_
_atom_site_label
_atom_site_type_symbol
_atom_site_fract_x
_atom_site_fract_y
_atom_site_fract_z
Dy1 Dy 0.000 0.331 0.000
Ho1 Ho 0.165 0.165 0.500
Sc1 Sc 0.000 0.000 0.000
```

Starting from a crystal structure in Alexandria, relaxed with PBE, the XRD peak list of BaGa2O4 was calculated for Cu Ka.
Kinematic intensities with the Lorentz-polarization factor, no thermal factor.

Main lines, low angle first (2θ = 10–90°):
Position (°2θ)	I/Imax
16.35	23.9
23.13	73.5
24.69	32.7
24.83	42.0
27.00	100.0
30.74	22.7
31.69	34.5
32.04	19.6
36.33	41.3
36.88	22.4
40.37	20.6
51.19	28.0

Crystal structure
```
data_BaGa2O4
_chemical_formula_sum 'Ba4 Ga8 O16'
_cell_length_a 7.547
_cell_length_b 13.661
_cell_length_c 5.946
_cell_angle_alpha 90.00
_cell_angle_beta 128.49
_cell_angle_gamma 90.00
_space_group_name_H-M_alt 'C 1 c 1'
_space_group_IT_number 9
loop_
_space_group_symop_operation_xyz
'x,y,z'
'x,-y,z+1/2'
'x+1/2,y+1/2,z'
'x+1/2,-y+1/2,z+1/2'
loop_
_atom_site_label
_atom_site_type_symbol
_atom_site_fract_x
_atom_site_fract_y
_atom_site_fract_z
Ba1 Ba 0.000 0.129 0.000
Ga1 Ga 0.158 0.278 0.674
Ga2 Ga 0.375 0.067 0.741
O1 O 0.173 0.402 0.547
O2 O 0.252 0.186 0.535
O3 O 0.258 0.014 0.918
O4 O 0.372 0.254 0.070
```

Starting from a crystal structure in Alexandria, relaxed with PBE, the XRD peak list of Pm2Ho5Tl was calculated for Cu Ka.
Kinematic intensities with the Lorentz-polarization factor, no thermal factor.

Main lines, low angle first (2θ = 10–90°):
Position (°2θ)	I/Imax
30.96	96.8
31.39	100.0
35.44	69.7
37.55	28.4
50.42	10.6
51.55	12.9
52.59	40.5
60.60	23.7
61.36	27.8
63.70	9.8
63.94	10.8
65.50	11.2

Crystal structure
```
data_Pm2Ho5Tl
_chemical_formula_sum 'Pm4 Ho10 Tl2'
_cell_length_a 9.581
_cell_length_b 14.480
_cell_length_c 3.546
_cell_angle_alpha 90.00
_cell_angle_beta 90.00
_cell_angle_gamma 90.00
_space_group_name_H-M_alt 'C m m m'
_space_group_IT_number 65
_space_group_name_Hall '-C 2 2'
loop_
_atom_site_label
_atom_site_type_symbol
_atom_site_fract_x
_atom_site_fract_y
_atom_site_fract_z
Pm1 Pm 0.000 0.229 0.000
Ho1 Ho 0.000 0.000 0.000
Ho2 Ho 0.231 0.379 0.500
Tl1 Tl 0.000 0.500 0.000
```